[1]
For Th8Os3PdS4, DFT lattice parameters and positions (PBE) gives the computed PXRD pattern in this record (Cu Kα).
Intensities are scaled so that the largest is 100.

```
Th8Os3PdS4
1.0
4.0875 2.3599 7.1373
-4.0875 2.3599 7.1373
0.0000 -4.7199 7.1373
Th Os Pd S
8 3 1 4
Cartesian
-2.1037 -1.2146 12.3370
0.0000 0.0000 5.1853
0.0000 -2.4291 9.0749
-2.1037 1.2146 9.0749
2.1037 -1.2146 12.3370
0.0000 2.4291 12.3370
0.0000 0.0000 16.2267
2.1037 1.2146 9.0749
-4.0875 0.0000 10.7060
-2.0438 1.1800 3.5687
2.0438 1.1800 3.5687
0.0000 0.0000 10.7060
0.0000 0.0000 0.0000
-2.0438 -1.1800 7.1373
-2.0438 1.1800 14.2746
0.0000 2.3599 7.1373
```

Top 8 peaks for 10 to 90 degrees two-theta, by angle:
Position (°2θ), Rel. int.
12.4, 24
26.5, 20
30.3, 100
42.3, 38
44.3, 36
54.6, 19
70.0, 15
72.9, 16

---

[2]
For AcDyErSe3, DFT lattice parameters and positions (PBE) gives the computed PXRD pattern in this record (Cu Kα).
Intensities are scaled so that the largest is 100.

```
AcDyErSe3
1.0
8.1766 0.0000 0.0000
0.0000 4.1608 0.0000
-2.6822 0.0000 10.0411
Ac Dy Er Se
2 2 2 6
Cartesian
0.9843 1.0402 2.1350
4.5100 3.1206 7.9061
0.3116 3.1206 9.1130
5.1827 1.0402 0.9281
-0.3213 1.0402 6.2810
5.8156 3.1206 3.7601
-1.5909 1.0402 8.9320
0.4402 3.1206 4.5188
3.4607 3.1206 1.9644
2.0336 1.0402 8.0767
5.0542 1.0402 5.5224
7.0852 3.1206 1.1091
```

Top 8 peaks for 10 to 90 degrees two-theta, by angle:
Position (°2θ), Rel. int.
22.5, 38
27.8, 64
28.3, 62
30.8, 62
31.2, 100
34.0, 64
39.0, 49
43.5, 65

---

Copy entry 1 word for word.
For Th8Os3PdS4, DFT lattice parameters and positions (PBE) gives the computed PXRD pattern in this record (Cu Kα).
Intensities are scaled so that the largest is 100.

```
Th8Os3PdS4
1.0
4.0875 2.3599 7.1373
-4.0875 2.3599 7.1373
0.0000 -4.7199 7.1373
Th Os Pd S
8 3 1 4
Cartesian
-2.1037 -1.2146 12.3370
0.0000 0.0000 5.1853
0.0000 -2.4291 9.0749
-2.1037 1.2146 9.0749
2.1037 -1.2146 12.3370
0.0000 2.4291 12.3370
0.0000 0.0000 16.2267
2.1037 1.2146 9.0749
-4.0875 0.0000 10.7060
-2.0438 1.1800 3.5687
2.0438 1.1800 3.5687
0.0000 0.0000 10.7060
0.0000 0.0000 0.0000
-2.0438 -1.1800 7.1373
-2.0438 1.1800 14.2746
0.0000 2.3599 7.1373
```

Top 8 peaks for 10 to 90 degrees two-theta, by angle:
Position (°2θ), Rel. int.
12.4, 24
26.5, 20
30.3, 100
42.3, 38
44.3, 36
54.6, 19
70.0, 15
72.9, 16

---

Please write out number 1 again, unchanged.
For Th8Os3PdS4, DFT lattice parameters and positions (PBE) gives the computed PXRD pattern in this record (Cu Kα).
Intensities are scaled so that the largest is 100.

```
Th8Os3PdS4
1.0
4.0875 2.3599 7.1373
-4.0875 2.3599 7.1373
0.0000 -4.7199 7.1373
Th Os Pd S
8 3 1 4
Cartesian
-2.1037 -1.2146 12.3370
0.0000 0.0000 5.1853
0.0000 -2.4291 9.0749
-2.1037 1.2146 9.0749
2.1037 -1.2146 12.3370
0.0000 2.4291 12.3370
0.0000 0.0000 16.2267
2.1037 1.2146 9.0749
-4.0875 0.0000 10.7060
-2.0438 1.1800 3.5687
2.0438 1.1800 3.5687
0.0000 0.0000 10.7060
0.0000 0.0000 0.0000
-2.0438 -1.1800 7.1373
-2.0438 1.1800 14.2746
0.0000 2.3599 7.1373
```

Top 8 peaks for 10 to 90 degrees two-theta, by angle:
Position (°2θ), Rel. int.
12.4, 24
26.5, 20
30.3, 100
42.3, 38
44.3, 36
54.6, 19
70.0, 15
72.9, 16